Sr2P: simulated powder XRD pattern (Cu Ka), based on a cell relaxed with PBE.
Peak positions follow from Bragg's law for the DFT cell and can differ from measured ones.

Cell and atoms:
```
data_Sr2P
_chemical_formula_sum 'Sr8 P4'
_cell_length_a 7.4315
_cell_length_b 4.1803
_cell_length_c 13.8044
_cell_angle_alpha 90.00
_cell_angle_beta 90.00
_cell_angle_gamma 90.00
_symmetry_space_group_name_H-M 'P n m a'
_symmetry_Int_Tables_number 62
_symmetry_space_group_name_Hall '-P 2ac 2n'
loop_
_atom_site_label
_atom_site_fract_x
_atom_site_fract_y
_atom_site_fract_z
Sr1 0.0973 0.2500 0.2427
Sr2 0.2228 0.7500 0.4906
P1 0.1257 0.2500 0.6428
```

Peak list (10 most intense, 2θ = 10–80°, by intensity)
- 34.82°, I = 100, (2 1 2)
- 31.32°, I = 92, (1 1 3)
- 25.28°, I = 92, (1 1 1)
- 27.26°, I = 86, (2 0 2)
- 25.82°, I = 80, (0 0 4)
- 28.86°, I = 80, (0 1 3)
- 41.02°, I = 47, (1 1 5)
- 43.29°, I = 41, (0 2 0)
- 30.93°, I = 40, (2 0 3)
- 64.41°, I = 38, (3 1 7)